Starting from a DFT-relaxed cell (PBE, Alexandria), the X-ray diffraction stick pattern of Tm3Ga2Pd2 was computed for λ = 1.5418 Å (Cu Kα).

Cell and atoms:
a b c (Å): 5.5726 7.8341 13.4194
angles (deg): 90.00 90.00 90.00
Space group Pbcm (No. 57)
Asymmetric unit:
Tm1 0.1345 0.2363 0.2500 (multiplicity 4)
Tm2 0.3549 0.5997 0.1013 (multiplicity 8)
Ga1 0.1827 0.2500 0.0000 (multiplicity 4)
Ga2 0.3762 0.6169 0.7500 (multiplicity 4)
Pd1 0.1265 0.5467 0.5939 (multiplicity 8)

The 10 most intense peaks (2θ from 15° to 90°), by angle:
h k l  d [Å]  I_rel
1 1 4  2.698  69
2 1 0  2.625  50
1 2 3  2.605  70
2 1 1  2.576  33
0 2 4  2.548  58
1 3 0  2.365  85
2 1 3  2.264  100
0 0 6  2.237  41
1 3 6  1.625  31
3 2 3  1.572  26